Structure and theoretical X-ray powder pattern of CaTl3 (a structure optimized by DFT (PBE); CuKα).

Most intense lines, 2θ = 10–90°, by angle:
Position (°2θ)	I_rel
31.7	100
36.7	51
52.9	36
63.0	43
86.7	18
89.5	17

Structure:
```
CaTl3
1.0
4.8962 0.0000 0.0000
0.0000 4.8962 0.0000
0.0000 0.0000 4.8962
Ca Tl
1 3
Direct
0.0000 0.0000 0.0000
0.0000 0.5000 0.5000
0.5000 0.0000 0.5000
0.5000 0.5000 0.0000
```